Theoretical powder XRD pattern
Compound: La2SmSn3Pd6
Radiation: Cu Kα X-rays
Structure: a structure optimized by DFT (PBE)

Crystal structure
a b c (Å): 4.120 4.120 17.983
angles (deg): 90.00 90.00 90.00
Space group P4/mmm (No. 123)
One atom of each set of equivalent atoms:
La: 0.000 0.000 0.183 [2 per cell]
Sm: 0.000 0.000 0.500 [1 per cell]
Sn: 0.500 0.500 0.000 [1 per cell]
Sn: 0.500 0.500 0.291 [2 per cell]
Pd: 0.000 0.500 0.384 [4 per cell]
Pd: 0.500 0.500 0.142 [2 per cell]

Main lines, in order of rising 2θ (2θ = 5–70°):
26.25°, 3.395 Å, I = 99.2, hkl 1 0 3; 30.69°, 2.913 Å, I = 42.0, hkl 1 1 0; 31.10°, 2.875 Å, I = 58.3, hkl 1 1 1; 34.22°, 2.620 Å, I = 61.7, hkl 1 1 3; 36.76°, 2.445 Å, I = 55.2, hkl 1 1 4; 41.42°, 2.180 Å, I = 68.7, hkl 1 0 7; 43.31°, 2.089 Å, I = 58.7, hkl 1 1 6; 43.96°, 2.060 Å, I = 100.0, hkl 2 0 0; 61.98°, 1.497 Å, I = 42.8, hkl 2 1 7; 63.92°, 1.456 Å, I = 32.7, hkl 2 2 0


Theoretical powder XRD pattern
Compound: LiCaLa2
Radiation: Cu Kα X-rays
Structure: a structure optimized by DFT (PBE)

Crystal structure
a b c (Å): 3.610 6.017 6.378
angles (deg): 90.00 99.24 90.00
Space group P2/m (No. 10)
One atom of each set of equivalent atoms:
Li: 0.000 0.000 0.000 [1 per cell]
Ca: 0.500 0.000 0.500 [1 per cell]
La: 0.216 0.500 0.775 [2 per cell]

Main lines, in order of rising 2θ (2θ = 5–70°):
14.72°, 6.017 Å, I = 100.0, hkl 0 1 0; 26.70°, 3.339 Å, I = 21.1, hkl 1 0 -1; 28.36°, 3.147 Å, I = 19.0, hkl 0 0 2; 29.69°, 3.009 Å, I = 39.0, hkl 0 2 0; 30.62°, 2.920 Å, I = 63.8, hkl 1 1 -1; 30.76°, 2.907 Å, I = 35.5, hkl 1 0 1; 32.09°, 2.789 Å, I = 58.2, hkl 0 1 2; 34.26°, 2.618 Å, I = 26.3, hkl 1 1 1; 43.28°, 2.091 Å, I = 27.4, hkl 1 2 1; 53.27°, 1.720 Å, I = 16.9, hkl 1 3 -1


Theoretical powder XRD pattern
Compound: MnCrCl
Radiation: Cu Kα X-rays
Structure: a structure optimized by DFT (PBE)

Crystal structure
a b c (Å): 3.2400 3.2400 5.5401
angles (deg): 90.00 90.00 120.00
Space group P3m1 (No. 156)
One atom of each set of equivalent atoms:
Mn: 0.0000 0.0000 0.0000 [1 per cell]
Cr: 0.3333 0.6667 0.7233 [1 per cell]
Cl: 0.6667 0.3333 0.3658 [1 per cell]

Main lines, in order of rising 2θ (2θ = 5–70°):
16.00°, 5.540 Å, I = 14.1, hkl 0 0 1; 31.89°, 2.806 Å, I = 2.5, hkl 1 0 0; 35.87°, 2.503 Å, I = 100.0, hkl 1 0 1; 46.04°, 1.971 Å, I = 48.4, hkl 0 1 2; 49.35°, 1.847 Å, I = 10.0, hkl 0 0 3; 56.83°, 1.620 Å, I = 23.4, hkl 1 1 0; 59.45°, 1.555 Å, I = 2.6, hkl 1 1 1; 59.97°, 1.543 Å, I = 4.8, hkl 0 1 3; 67.64°, 1.385 Å, I = 1.0, hkl 0 0 4; 69.06°, 1.360 Å, I = 12.0, hkl 0 2 1


Theoretical powder XRD pattern
Compound: Pr3Br3N
Radiation: Cu Kα X-rays
Structure: a structure optimized by DFT (PBE)

Crystal structure
a b c (Å): 8.560 3.879 11.545
angles (deg): 90.00 92.55 90.00
Space group P2_1/m (No. 11)
One atom of each set of equivalent atoms:
Pr: 0.086 0.250 0.396 [2 per cell]
Pr: 0.122 0.250 0.833 [2 per cell]
Pr: 0.312 0.750 0.622 [2 per cell]
Br: 0.141 0.250 0.123 [2 per cell]
Br: 0.381 0.750 0.365 [2 per cell]
Br: 0.383 0.750 0.877 [2 per cell]
N: 0.118 0.250 0.616 [2 per cell]

Main lines, in order of rising 2θ (2θ = 5–70°):
7.67°, 11.534 Å, I = 26.5, hkl 0 0 1; 10.34°, 8.552 Å, I = 20.8, hkl 1 0 0; 29.91°, 2.988 Å, I = 16.2, hkl 1 1 2; 31.01°, 2.883 Å, I = 45.2, hkl 0 0 4; 31.13°, 2.873 Å, I = 100.0, hkl 2 1 0; 32.80°, 2.730 Å, I = 20.3, hkl 0 1 3; 34.15°, 2.625 Å, I = 17.6, hkl 1 1 -3; 43.81°, 2.066 Å, I = 25.5, hkl 2 1 -4; 45.22°, 2.005 Å, I = 28.2, hkl 2 1 4; 46.85°, 1.939 Å, I = 19.1, hkl 0 2 0


Theoretical powder XRD pattern
Compound: Pm14YZr
Radiation: Cu Kα X-rays
Structure: a structure optimized by DFT (PBE)

Crystal structure
a b c (Å): 7.236 7.236 10.197
angles (deg): 90.00 90.00 90.00
Space group P4/mmm (No. 123)
One atom of each set of equivalent atoms:
Pm: 0.000 0.000 0.000 [1 per cell]
Pm: 0.000 0.500 0.000 [2 per cell]
Pm: 0.000 0.500 0.500 [2 per cell]
Pm: 0.245 0.245 0.257 [8 per cell]
Pm: 0.500 0.500 0.000 [1 per cell]
Y: 0.500 0.500 0.500 [1 per cell]
Zr: 0.000 0.000 0.500 [1 per cell]

Main lines, in order of rising 2θ (2θ = 5–70°):
17.35°, 5.111 Å, I = 0.6, hkl 1 1 0; 19.41°, 4.573 Å, I = 0.7, hkl 1 1 1; 26.17°, 3.405 Å, I = 1.2, hkl 0 0 3; 30.29°, 2.950 Å, I = 100.0, hkl 2 0 2; 35.08°, 2.558 Å, I = 33.9, hkl 2 2 0; 35.20°, 2.549 Å, I = 16.6, hkl 0 0 4; 50.51°, 1.807 Å, I = 35.6, hkl 4 0 0; 59.99°, 1.542 Å, I = 28.3, hkl 4 2 2; 60.15°, 1.538 Å, I = 13.8, hkl 2 0 6; 63.01°, 1.475 Å, I = 12.1, hkl 4 0 4


Theoretical powder XRD pattern
Compound: La2NdCoAu
Radiation: Cu Kα X-rays
Structure: a structure optimized by DFT (PBE)

Crystal structure
a b c (Å): 5.207 5.207 5.535
angles (deg): 90.00 90.00 90.00
Space group P4mm (No. 99)
One atom of each set of equivalent atoms:
La: 0.000 0.500 0.000 [2 per cell]
Nd: 0.000 0.000 0.525 [1 per cell]
Co: 0.000 0.000 0.035 [1 per cell]
Au: 0.500 0.500 0.633 [1 per cell]

Main lines, in order of rising 2θ (2θ = 5–70°):
23.46°, 3.793 Å, I = 13.9, hkl 1 0 1; 29.13°, 3.066 Å, I = 100.0, hkl 1 1 1; 32.35°, 2.768 Å, I = 19.8, hkl 0 0 2; 34.45°, 2.603 Å, I = 56.6, hkl 2 0 0; 36.78°, 2.444 Å, I = 12.6, hkl 1 0 2; 40.79°, 2.212 Å, I = 12.8, hkl 1 1 2; 47.97°, 1.896 Å, I = 26.2, hkl 2 0 2; 49.51°, 1.841 Å, I = 20.3, hkl 2 2 0; 58.48°, 1.578 Å, I = 28.6, hkl 3 1 1; 60.39°, 1.533 Å, I = 13.1, hkl 2 2 2